# MgAgTeO
Simulated XRD peak list, Cu Ka. Input: a cell relaxed with GGA-PBE.

Top 10 peaks for 10° ≤ 2θ ≤ 90°, most intense first:
(1 3 0), 2θ = 33.9°, 2.645 Å, intensity 100.0; (1 3 2), 2θ = 47.2°, 1.927 Å, intensity 88.2; (0 6 0), 2θ = 29.7°, 3.005 Å, intensity 70.9; (0 0 2), 2θ = 31.8°, 2.813 Å, intensity 55.7; (0 6 2), 2θ = 44.1°, 2.054 Å, intensity 35.6; (0 2 2), 2θ = 33.4°, 2.685 Å, intensity 27.7; (1 5 0), 2θ = 39.5°, 2.281 Å, intensity 24.0; (1 9 2), 2θ = 65.4°, 1.427 Å, intensity 20.5; (1 3 4), 2θ = 76.8°, 1.242 Å, intensity 20.0; (1 1 0), 2θ = 30.8°, 2.905 Å, intensity 19.4

Structure:
a = 2.944 Å, b = 18.032 Å, c = 5.626 Å
α = 90.00°, β = 90.00°, γ = 90.00°
Space group Cmcm (No. 63)
Asymmetric unit:
Mg 0.000 0.005 0.250 [4 per cell]
Ag 0.000 0.334 0.250 [4 per cell]
Te 0.000 0.316 0.750 [4 per cell]
O 0.000 0.500 0.000 [4 per cell]



# Pr3Mg3AgPdPt
Simulated XRD peak list, Cu Ka. Input: a cell relaxed with GGA-PBE.

Top 10 peaks for 10° ≤ 2θ ≤ 90°, most intense first:
(2 0 1), 2θ = 34.4°, 2.606 Å, intensity 100.0; (1 1 1), 2θ = 31.6°, 2.830 Å, intensity 74.8; (1 1 0), 2θ = 23.0°, 3.861 Å, intensity 35.7; (3 0 0), 2θ = 40.5°, 2.229 Å, intensity 28.8; (1 2 1), 2θ = 41.8°, 2.160 Å, intensity 27.4; (1 0 0), 2θ = 13.2°, 6.687 Å, intensity 27.2; (2 3 1), 2θ = 64.8°, 1.439 Å, intensity 21.4; (0 0 2), 2θ = 43.5°, 2.080 Å, intensity 21.0; (2 1 0), 2θ = 35.5°, 2.528 Å, intensity 21.0; (1 3 1), 2θ = 54.1°, 1.694 Å, intensity 19.3

Structure:
a = 7.7218 Å, b = 7.7218 Å, c = 4.1597 Å
α = 90.00°, β = 90.00°, γ = 120.00°
Space group P-6 (No. 174)
Asymmetric unit:
Pr 0.0046 0.5822 0.0000 [3 per cell]
Mg 0.0016 0.2471 0.5000 [3 per cell]
Ag 0.0000 0.0000 0.0000 [1 per cell]
Pd 0.6667 0.3333 0.5000 [1 per cell]
Pt 0.3333 0.6667 0.5000 [1 per cell]



# SmMgAgSeS2
Simulated XRD peak list, Cu Ka. Input: a cell relaxed with GGA-PBE.

Top 10 peaks for 10° ≤ 2θ ≤ 90°, most intense first:
(1 3 2), 2θ = 35.3°, 2.542 Å, intensity 100.0; (0 2 0), 2θ = 13.7°, 6.475 Å, intensity 90.6; (1 1 2), 2θ = 29.2°, 3.055 Å, intensity 39.8; (1 5 2), 2θ = 45.4°, 1.999 Å, intensity 32.1; (0 0 4), 2θ = 32.9°, 2.723 Å, intensity 26.9; (0 2 4), 2θ = 35.8°, 2.510 Å, intensity 21.6; (1 3 1), 2θ = 32.2°, 2.779 Å, intensity 17.0; (2 0 0), 2θ = 47.2°, 1.926 Å, intensity 15.4; (1 3 6), 2θ = 60.3°, 1.535 Å, intensity 13.2; (1 1 6), 2θ = 56.5°, 1.629 Å, intensity 11.0

Structure:
a = 3.851 Å, b = 12.951 Å, c = 10.891 Å
α = 90.00°, β = 90.00°, γ = 90.00°
Space group Cmcm (No. 63)
Asymmetric unit:
Sm 0.000 0.000 0.000 [4 per cell]
Mg 0.000 0.219 0.250 [4 per cell]
Ag 0.000 0.486 0.750 [4 per cell]
Se 0.000 0.126 0.750 [4 per cell]
S 0.000 0.357 0.579 [8 per cell]



# MgAgSb
Simulated XRD peak list, Cu Ka. Input: a cell relaxed with GGA-PBE.

Top 10 peaks for 10° ≤ 2θ ≤ 90°, most intense first:
(2 2 4), 2θ = 39.6°, 2.278 Å, intensity 100.0; (2 0 2), 2θ = 23.8°, 3.735 Å, intensity 75.1; (4 0 0), 2θ = 39.1°, 2.306 Å, intensity 46.2; (1 1 4), 2θ = 31.3°, 2.860 Å, intensity 19.6; (1 1 0), 2θ = 13.6°, 6.523 Å, intensity 18.9; (4 0 8), 2θ = 72.2°, 1.309 Å, intensity 18.7; (6 2 4), 2θ = 71.1°, 1.326 Å, intensity 18.1; (4 2 2), 2θ = 46.3°, 1.962 Å, intensity 18.1; (3 1 0), 2θ = 30.6°, 2.917 Å, intensity 17.9; (2 2 2), 2θ = 30.8°, 2.903 Å, intensity 15.9

Structure:
a = 9.226 Å, b = 9.226 Å, c = 12.728 Å
α = 90.00°, β = 90.00°, γ = 90.00°
Space group I-4c2 (No. 120)
Asymmetric unit:
Mg 0.026 0.225 0.365 [16 per cell]
Ag 0.000 0.500 0.000 [4 per cell]
Ag 0.000 0.500 0.250 [4 per cell]
Ag 0.223 0.277 0.000 [8 per cell]
Sb 0.024 0.230 0.635 [16 per cell]



# Mg2Sc2TlAg3
Simulated XRD peak list, Cu Ka. Input: a cell relaxed with GGA-PBE.

Top 10 peaks for 10° ≤ 2θ ≤ 90°, most intense first:
(1 1 2), 2θ = 37.2°, 2.418 Å, intensity 100.0; (2 0 0), 2θ = 37.5°, 2.399 Å, intensity 49.0; (1 1 0), 2θ = 26.3°, 3.392 Å, intensity 42.2; (3 1 2), 2θ = 67.4°, 1.389 Å, intensity 32.8; (0 0 2), 2θ = 25.8°, 3.448 Å, intensity 22.1; (2 0 2), 2θ = 46.1°, 1.969 Å, intensity 18.8; (2 0 4), 2θ = 66.8°, 1.400 Å, intensity 16.7; (2 2 0), 2θ = 54.1°, 1.696 Å, intensity 16.4; (2 2 4), 2θ = 79.2°, 1.209 Å, intensity 10.2; (0 0 4), 2θ = 53.1°, 1.724 Å, intensity 8.6

Structure:
a = 4.798 Å, b = 4.798 Å, c = 6.897 Å
α = 90.00°, β = 90.00°, γ = 90.00°
Space group P-4m2 (No. 115)
Asymmetric unit:
Mg 0.000 0.500 0.238 [2 per cell]
Sc 0.000 0.500 0.759 [2 per cell]
Tl 0.000 0.000 0.500 [1 per cell]
Ag 0.000 0.000 0.000 [1 per cell]
Ag 0.500 0.500 0.000 [1 per cell]
Ag 0.500 0.500 0.500 [1 per cell]



# SrMgSi2Ag
Simulated XRD peak list, Cu Ka. Input: a cell relaxed with GGA-PBE.

Top 10 peaks for 10° ≤ 2θ ≤ 90°, most intense first:
(1 1 2), 2θ = 33.2°, 2.697 Å, intensity 100.0; (1 0 1), 2θ = 21.9°, 4.065 Å, intensity 46.1; (1 0 3), 2θ = 31.8°, 2.812 Å, intensity 39.9; (2 0 0), 2θ = 41.3°, 2.187 Å, intensity 37.9; (3 1 2), 2θ = 70.2°, 1.341 Å, intensity 21.4; (1 0 5), 2θ = 46.1°, 1.968 Å, intensity 19.1; (2 1 3), 2θ = 53.0°, 1.726 Å, intensity 18.0; (2 1 5), 2θ = 63.6°, 1.463 Å, intensity 14.3; (0 0 4), 2θ = 32.5°, 2.754 Å, intensity 14.1; (2 0 4), 2θ = 53.5°, 1.713 Å, intensity 13.3

Structure:
a = 4.374 Å, b = 4.374 Å, c = 11.016 Å
α = 90.00°, β = 90.00°, γ = 90.00°
Space group I-4m2 (No. 119)
Asymmetric unit:
Sr 0.000 0.000 0.000 [2 per cell]
Mg 0.000 0.500 0.750 [2 per cell]
Si 0.000 0.000 0.393 [4 per cell]
Ag 0.000 0.500 0.250 [2 per cell]